Computed XRD peak list
Compound: Li2ThAg2Hg2
Radiation: Cu Kα (λ = 1.5418 Å)
Structure: a structure optimized by DFT (GGA-PBE)
Kinematic intensities with the Lorentz-polarization factor, no thermal factor.

Peak list (12 most intense, 2θ from 5° to 70°, sorted by position)
2θ 11.37, I 47; 2θ 27.39, I 89; 2θ 28.42, I 47; 2θ 34.22, I 71; 2θ 37.34, I 100; 2θ 38.19, I 22; 2θ 39.89, I 28; 2θ 40.62, I 24; 2θ 46.36, I 23; 2θ 52.77, I 21; 2θ 55.27, I 15; 2θ 59.82, I 16

Crystal structure
a = 5.220 Å, b = 5.220 Å, c = 7.805 Å
α = 93.77°, β = 93.77°, γ = 44.08°
Atoms (fractional coordinates):
Li 0.139 0.139 0.440
Li 0.861 0.861 0.560
Th 0.000 0.000 0.000
Ag 0.438 0.438 0.324
Ag 0.562 0.562 0.676
Hg 0.276 0.276 0.797
Hg 0.724 0.724 0.203